Computed powder diffraction line list
Compound: BaFeBP2O9
Radiation: Cu Kα
Structure: a PBE+U-relaxed structure
Intensities are scaled so that the largest is 100.

Cell and atoms:
a b c (Å): 5.344 8.126 8.308
angles (deg): 88.49 87.79 79.89
Positions (direct):
Ba 0.227 0.133 0.309
Ba 0.773 0.867 0.691
Fe 0.223 0.211 0.807
Fe 0.777 0.789 0.193
B 0.372 0.544 0.737
B 0.628 0.456 0.263
P 0.277 0.814 0.943
P 0.299 0.703 0.425
P 0.701 0.297 0.575
P 0.723 0.186 0.057
O 0.006 0.785 0.990
O 0.050 0.809 0.365
O 0.213 0.437 0.794
O 0.234 0.663 0.606
O 0.254 0.952 0.807
O 0.373 0.535 0.336
O 0.424 0.855 0.086
O 0.444 0.656 0.861
O 0.486 0.191 0.586
O 0.514 0.809 0.414
O 0.556 0.344 0.139
O 0.576 0.145 0.914
O 0.627 0.465 0.664
O 0.746 0.048 0.193
O 0.766 0.337 0.394
O 0.787 0.563 0.206
O 0.950 0.191 0.635
O 0.994 0.215 0.010

Top 10 peaks for 2θ from 15° to 90°, sorted by position:
2θ = 21.4°, I 25.4; 2θ = 21.8°, I 24.1; 2θ = 22.2°, I 29.6; 2θ = 25.5°, I 37.3; 2θ = 26.9°, I 33.1; 2θ = 27.8°, I 100.0; 2θ = 31.0°, I 37.3; 2θ = 34.0°, I 23.8; 2θ = 34.1°, I 28.9; 2θ = 34.2°, I 23.9